# 1
This entry pairs a crystal structure of FeAg2Pd6 with its computed powder XRD pattern. Radiation: Cu Ka. Structure: a DFT-relaxed cell (PBE, Alexandria).
Intensities are scaled so that the largest is 100.

Structure:
```
FeAg2Pd6
1.0
4.9398 -5.5642 0.0000
4.9398 5.5642 0.0000
-0.5259 0.0000 5.2734
Fe Ag Pd
2 4 12
direct
0.0956 0.9044 0.7500
0.9044 0.0956 0.2500
0.3544 0.3836 0.6104
0.3836 0.3544 0.1104
0.6164 0.6456 0.8896
0.6456 0.6164 0.3896
0.0469 0.4262 0.2739
0.0477 0.2290 0.7961
0.2290 0.0477 0.2961
0.2743 0.6998 0.0021
0.3002 0.7257 0.4979
0.4262 0.0469 0.7739
0.5738 0.9531 0.2261
0.6998 0.2743 0.5021
0.7257 0.3002 0.9979
0.7710 0.9523 0.7039
0.9523 0.7710 0.2039
0.9531 0.5738 0.7261
```

Peak list (10 most intense, 2θ from 5° to 70°, in order of rising 2θ)
two_theta  d [Å]  I_rel
36.55  2.458  98
37.06  2.426  31
39.30  2.293  22
40.11  2.248  100
40.39  2.233  70
40.57  2.224  95
41.60  2.171  62
41.79  2.161  49
42.27  2.138  79
45.26  2.004  23

# 2
This entry pairs a crystal structure of TaNF with its computed powder XRD pattern. Radiation: Cu Ka. Structure: a DFT-relaxed cell (PBE, Alexandria).
Intensities are scaled so that the largest is 100.

Structure:
```
TaNF
1.0
1.5889 -6.5198 0.0000
1.5889 6.5198 0.0000
0.0000 0.0000 4.1810
Ta N F
2 2 2
direct
0.1980 0.8020 0.7500
0.8020 0.1980 0.2500
0.1944 0.8056 0.2500
0.8056 0.1944 0.7500
0.4115 0.5885 0.2500
0.5885 0.4115 0.7500
```

Peak list (10 most intense, 2θ from 5° to 70°, in order of rising 2θ)
two_theta  d [Å]  I_rel
13.58  6.520  100
25.31  3.520  31
34.94  2.568  45
36.17  2.484  39
41.29  2.187  16
43.28  2.091  12
44.97  2.016  21
47.13  1.928  10
56.81  1.621  12
64.18  1.451  14

# 3
This entry pairs a crystal structure of Ti5Al2C3 with its computed powder XRD pattern. Radiation: Cu Ka. Structure: a DFT-relaxed cell (PBE, Alexandria).
Intensities are scaled so that the largest is 100.

Structure:
```
Ti5Al2C3
1.0
1.5374 0.8876 16.2749
-1.5374 0.8876 16.2749
0.0000 -1.7752 16.2749
Ti Al C
5 2 3
direct
0.0000 0.0000 0.0000
0.1901 0.1901 0.1901
0.2849 0.2849 0.2849
0.7151 0.7151 0.7151
0.8099 0.8099 0.8099
0.0959 0.0959 0.0959
0.9041 0.9041 0.9041
0.3598 0.3598 0.3598
0.5000 0.5000 0.5000
0.6402 0.6402 0.6402
```

Peak list (10 most intense, 2θ from 5° to 70°, in order of rising 2θ)
two_theta  d [Å]  I_rel
5.43  16.275  16
10.87  8.137  53
33.71  2.659  17
33.86  2.647  17
38.51  2.338  87
38.73  2.325  38
39.46  2.283  100
53.77  1.705  12
60.19  1.537  42
69.32  1.356  13

# 4
This entry pairs a crystal structure of Cs3Sn2Br5Cl2 with its computed powder XRD pattern. Radiation: Cu Ka. Structure: a DFT-relaxed cell (PBE, Alexandria).
Intensities are scaled so that the largest is 100.

Structure:
```
Cs3Sn2Br5Cl2
1.0
-2.9540 2.9540 14.5457
2.9540 -2.9540 14.5457
2.9540 2.9540 -14.5457
Cs Sn Br Cl
3 2 5 2
direct
0.0000 0.0000 0.0000
0.1838 0.1838 0.0000
0.8162 0.8162 0.0000
0.3958 0.3958 0.0000
0.6042 0.6042 0.0000
0.1015 0.6015 0.5000
0.3985 0.8985 0.5000
0.5000 0.5000 0.0000
0.6015 0.1015 0.5000
0.8985 0.3985 0.5000
0.3016 0.3016 0.0000
0.6984 0.6984 0.0000
```

Peak list (10 most intense, 2θ from 5° to 70°, in order of rising 2θ)
two_theta  d [Å]  I_rel
6.08  14.546  26
21.27  4.178  41
21.43  4.146  72
28.20  3.165  55
30.26  2.954  100
30.73  2.909  37
37.38  2.406  36
43.32  2.089  37
43.67  2.073  55
54.02  1.697  38

# 5
This entry pairs a crystal structure of LiSnP3O9 with its computed powder XRD pattern. Radiation: Cu Ka. Structure: a DFT-relaxed cell (PBE, Alexandria).
Intensities are scaled so that the largest is 100.

Structure:
```
LiSnP3O9
1.0
6.9531 0.0000 0.0000
0.8710 7.2936 0.0000
1.8005 0.4237 7.3188
Li Sn P O
2 2 6 18
direct
0.0891 0.1671 0.1742
0.9109 0.8329 0.8258
0.4245 0.7660 0.8460
0.5755 0.2340 0.1540
0.0830 0.6199 0.2267
0.2620 0.8405 0.4520
0.3405 0.2836 0.7729
0.6595 0.7164 0.2271
0.7380 0.1595 0.5480
0.9170 0.3801 0.7733
0.1278 0.4201 0.2028
0.1412 0.7550 0.0630
0.1512 0.3284 0.6839
0.1750 0.6671 0.3927
0.2030 0.8357 0.6598
0.2200 0.0117 0.3428
0.3103 0.1262 0.9152
0.4053 0.4547 0.8283
0.4989 0.2197 0.5882
0.5011 0.7803 0.4118
0.5947 0.5453 0.1717
0.6897 0.8738 0.0848
0.7800 0.9883 0.6572
0.7970 0.1643 0.3402
0.8250 0.3329 0.6073
0.8488 0.6716 0.3161
0.8588 0.2450 0.9370
0.8722 0.5799 0.7972
```

Peak list (10 most intense, 2θ from 5° to 70°, in order of rising 2θ)
two_theta  d [Å]  I_rel
13.18  6.717  52
18.86  4.704  40
19.90  4.462  31
23.04  3.861  20
24.45  3.641  63
26.51  3.363  68
26.66  3.344  68
27.92  3.196  46
30.70  2.913  23
31.76  2.818  100